No. 1
# Li2H6PdO6
Calculated X-ray diffraction stick pattern, Cu Kα X-rays. Input: a PBE-relaxed structure.

Principal peaks in the range 2θ from 10° to 90°, in order of rising 2θ:
2theta, I_rel
19.4, 100.0
20.3, 29.7
28.2, 70.8
39.9, 56.2
44.7, 21.4
54.5, 25.9

```
data_Li2H6PdO6
_symmetry_space_group_name_H-M 'P 1'
_symmetry_Int_Tables_number 1
_cell_length_a 5.287
_cell_length_b 5.287
_cell_length_c 4.366
_cell_angle_alpha 90.00
_cell_angle_beta 90.00
_cell_angle_gamma 120.00
loop_
_symmetry_equiv_pos_as_xyz
'x,y,z'
loop_
_atom_site_label
_atom_site_type_symbol
_atom_site_fract_x
_atom_site_fract_y
_atom_site_fract_z
Li1 Li 0.333 0.667 0.040
Li2 Li 0.667 0.333 0.960
H1 H 0.151 0.788 0.579
H2 H 0.212 0.362 0.579
H3 H 0.362 0.151 0.421
H4 H 0.638 0.849 0.579
H5 H 0.788 0.638 0.421
H6 H 0.849 0.212 0.421
Pd1 Pd 0.000 0.000 0.000
O1 O 0.012 0.684 0.750
O2 O 0.316 0.327 0.750
O3 O 0.327 0.012 0.250
O4 O 0.673 0.988 0.750
O5 O 0.684 0.673 0.250
O6 O 0.988 0.316 0.250
```

=====

No. 2
# SrLiTa2HO7
Calculated X-ray diffraction stick pattern, Cu Kα X-rays. Input: a PBE-relaxed structure.

Principal peaks in the range 2θ from 10° to 90°, in order of rising 2θ:
2theta, I_rel
19.3, 45.4
23.1, 67.4
27.0, 100.0
33.4, 84.8
46.2, 40.7
50.5, 33.6

```
data_SrLiTa2HO7
_symmetry_space_group_name_H-M 'P 1'
_symmetry_Int_Tables_number 1
_cell_length_a 5.582
_cell_length_b 9.583
_cell_length_c 9.583
_cell_angle_alpha 33.58
_cell_angle_beta 90.00
_cell_angle_gamma 90.00
loop_
_symmetry_equiv_pos_as_xyz
'x,y,z'
loop_
_atom_site_label
_atom_site_type_symbol
_atom_site_fract_x
_atom_site_fract_y
_atom_site_fract_z
Sr1 Sr 0.250 0.249 0.751
Sr2 Sr 0.750 0.751 0.249
Li1 Li 0.000 0.242 0.242
Li2 Li 0.500 0.242 0.242
Ta1 Ta 0.250 0.632 0.133
Ta2 Ta 0.250 0.863 0.367
Ta3 Ta 0.750 0.133 0.632
Ta4 Ta 0.750 0.367 0.863
H1 H 0.250 0.815 0.681
H2 H 0.750 0.681 0.815
O1 O 0.000 0.123 0.123
O2 O 0.000 0.408 0.408
O3 O 0.000 0.602 0.602
O4 O 0.000 0.896 0.896
O5 O 0.250 0.503 0.065
O6 O 0.250 0.795 0.221
O7 O 0.250 0.950 0.499
O8 O 0.500 0.123 0.123
O9 O 0.500 0.408 0.408
O10 O 0.500 0.602 0.602
O11 O 0.500 0.896 0.896
O12 O 0.750 0.065 0.503
O13 O 0.750 0.221 0.795
O14 O 0.750 0.499 0.950
```

=====

No. 3
# LuH3
Calculated X-ray diffraction stick pattern, Cu Kα X-rays. Input: a PBE-relaxed structure.

Principal peaks in the range 2θ from 10° to 90°, in order of rising 2θ:
2theta, I_rel
28.2, 33.1
29.4, 22.4
32.7, 100.0
52.2, 19.0
52.9, 27.1
60.4, 23.8

```
data_LuH3
_symmetry_space_group_name_H-M 'P 1'
_symmetry_Int_Tables_number 1
_cell_length_a 6.071
_cell_length_b 6.071
_cell_length_c 6.318
_cell_angle_alpha 90.00
_cell_angle_beta 90.00
_cell_angle_gamma 120.00
loop_
_symmetry_equiv_pos_as_xyz
'x,y,z'
loop_
_atom_site_label
_atom_site_type_symbol
_atom_site_fract_x
_atom_site_fract_y
_atom_site_fract_z
Lu1 Lu 0.000 0.337 0.250
Lu2 Lu 0.000 0.663 0.750
Lu3 Lu 0.337 0.000 0.250
Lu4 Lu 0.337 0.337 0.750
Lu5 Lu 0.663 0.000 0.750
Lu6 Lu 0.663 0.663 0.250
H1 H 0.000 0.000 0.250
H2 H 0.000 0.000 0.750
H3 H 0.030 0.352 0.909
H4 H 0.030 0.678 0.409
H5 H 0.322 0.352 0.409
H6 H 0.322 0.970 0.909
H7 H 0.333 0.667 0.182
H8 H 0.333 0.667 0.682
H9 H 0.352 0.030 0.591
H10 H 0.352 0.322 0.091
H11 H 0.648 0.678 0.909
H12 H 0.648 0.970 0.409
H13 H 0.667 0.333 0.318
H14 H 0.667 0.333 0.818
H15 H 0.678 0.030 0.091
H16 H 0.678 0.648 0.591
H17 H 0.970 0.322 0.591
H18 H 0.970 0.648 0.091
```

=====

No. 4
# Na2Mg2NiH6
Calculated X-ray diffraction stick pattern, Cu Kα X-rays. Input: a PBE-relaxed structure.

Principal peaks in the range 2θ from 10° to 90°, in order of rising 2θ:
2theta, I_rel
15.8, 33.5
18.6, 68.8
26.8, 23.5
34.0, 24.0
36.6, 100.0
49.4, 22.8

```
data_Na2Mg2NiH6
_symmetry_space_group_name_H-M 'P 1'
_symmetry_Int_Tables_number 1
_cell_length_a 11.188
_cell_length_b 8.297
_cell_length_c 5.278
_cell_angle_alpha 90.00
_cell_angle_beta 90.00
_cell_angle_gamma 90.00
loop_
_symmetry_equiv_pos_as_xyz
'x,y,z'
loop_
_atom_site_label
_atom_site_type_symbol
_atom_site_fract_x
_atom_site_fract_y
_atom_site_fract_z
Na1 Na 0.110 0.250 0.045
Na2 Na 0.170 0.750 0.059
Na3 Na 0.330 0.250 0.559
Na4 Na 0.390 0.750 0.545
Na5 Na 0.610 0.250 0.455
Na6 Na 0.670 0.750 0.441
Na7 Na 0.830 0.250 0.941
Na8 Na 0.890 0.750 0.955
Mg1 Mg 0.128 0.507 0.564
Mg2 Mg 0.128 0.993 0.564
Mg3 Mg 0.372 0.007 0.064
Mg4 Mg 0.372 0.493 0.064
Mg5 Mg 0.628 0.507 0.936
Mg6 Mg 0.628 0.993 0.936
Mg7 Mg 0.872 0.007 0.436
Mg8 Mg 0.872 0.493 0.436
Ni1 Ni 0.001 0.750 0.441
Ni2 Ni 0.499 0.250 0.941
Ni3 Ni 0.501 0.750 0.059
Ni4 Ni 0.999 0.250 0.559
H1 H 0.022 0.599 0.258
H2 H 0.022 0.901 0.258
H3 H 0.100 0.750 0.656
H4 H 0.134 0.250 0.469
H5 H 0.221 0.017 0.877
H6 H 0.221 0.483 0.877
H7 H 0.279 0.517 0.377
H8 H 0.279 0.983 0.377
H9 H 0.366 0.750 0.969
H10 H 0.400 0.250 0.156
H11 H 0.478 0.099 0.758
H12 H 0.478 0.401 0.758
H13 H 0.522 0.599 0.242
H14 H 0.522 0.901 0.242
H15 H 0.600 0.750 0.844
H16 H 0.634 0.250 0.031
H17 H 0.721 0.017 0.623
H18 H 0.721 0.483 0.623
H19 H 0.779 0.517 0.123
H20 H 0.779 0.983 0.123
H21 H 0.866 0.750 0.531
H22 H 0.900 0.250 0.344
H23 H 0.978 0.099 0.742
H24 H 0.978 0.401 0.742
```

=====

No. 5
# NdMgNi4H7
Calculated X-ray diffraction stick pattern, Cu Kα X-rays. Input: a PBE-relaxed structure.

Principal peaks in the range 2θ from 10° to 90°, in order of rising 2θ:
2theta, I_rel
23.3, 20.8
33.1, 32.4
39.0, 100.0
40.9, 35.6
63.1, 31.5
69.5, 23.1

```
data_NdMgNi4H7
_symmetry_space_group_name_H-M 'P 1'
_symmetry_Int_Tables_number 1
_cell_length_a 5.410
_cell_length_b 5.410
_cell_length_c 5.410
_cell_angle_alpha 60.00
_cell_angle_beta 60.00
_cell_angle_gamma 60.00
loop_
_symmetry_equiv_pos_as_xyz
'x,y,z'
loop_
_atom_site_label
_atom_site_type_symbol
_atom_site_fract_x
_atom_site_fract_y
_atom_site_fract_z
Nd1 Nd 0.000 0.000 0.000
Mg1 Mg 0.750 0.750 0.750
Ni1 Ni 0.377 0.377 0.377
Ni2 Ni 0.377 0.377 0.870
Ni3 Ni 0.377 0.870 0.377
Ni4 Ni 0.870 0.377 0.377
H1 H 0.009 0.009 0.491
H2 H 0.009 0.491 0.009
H3 H 0.009 0.491 0.491
H4 H 0.491 0.009 0.009
H5 H 0.491 0.009 0.491
H6 H 0.491 0.491 0.009
H7 H 0.500 0.500 0.500
```

=====

No. 6
# NdMgNi4H4
Calculated X-ray diffraction stick pattern, Cu Kα X-rays. Input: a PBE-relaxed structure.

Principal peaks in the range 2θ from 10° to 90°, in order of rising 2θ:
2theta, I_rel
23.9, 40.9
34.3, 45.3
39.4, 63.4
40.4, 42.0
41.2, 100.0
43.4, 41.7

```
data_NdMgNi4H4
_symmetry_space_group_name_H-M 'P 1'
_symmetry_Int_Tables_number 1
_cell_length_a 5.062
_cell_length_b 5.475
_cell_length_c 7.340
_cell_angle_alpha 90.00
_cell_angle_beta 90.00
_cell_angle_gamma 90.00
loop_
_symmetry_equiv_pos_as_xyz
'x,y,z'
loop_
_atom_site_label
_atom_site_type_symbol
_atom_site_fract_x
_atom_site_fract_y
_atom_site_fract_z
Nd1 Nd 0.000 0.202 0.000
Nd2 Nd 0.500 0.798 0.500
Mg1 Mg 0.000 0.682 0.221
Mg2 Mg 0.500 0.318 0.721
Ni1 Ni 0.000 0.051 0.620
Ni2 Ni 0.000 0.507 0.602
Ni3 Ni 0.244 0.270 0.377
Ni4 Ni 0.256 0.730 0.877
Ni5 Ni 0.500 0.493 0.102
Ni6 Ni 0.500 0.949 0.120
Ni7 Ni 0.744 0.730 0.877
Ni8 Ni 0.756 0.270 0.377
H1 H 0.000 0.560 0.823
H2 H 0.000 0.779 0.508
H3 H 0.246 0.008 0.256
H4 H 0.254 0.992 0.756
H5 H 0.500 0.221 0.008
H6 H 0.500 0.440 0.323
H7 H 0.746 0.992 0.756
H8 H 0.754 0.008 0.256
```

=====

No. 7
# MgNiH
Calculated X-ray diffraction stick pattern, Cu Kα X-rays. Input: a PBE-relaxed structure.

Principal peaks in the range 2θ from 10° to 90°, in order of rising 2θ:
2theta, I_rel
29.1, 26.2
40.4, 100.0
41.6, 48.5
60.2, 14.9
72.6, 16.3
75.0, 28.7

```
data_MgNiH
_symmetry_space_group_name_H-M 'P 1'
_symmetry_Int_Tables_number 1
_cell_length_a 3.073
_cell_length_b 3.073
_cell_length_c 3.252
_cell_angle_alpha 90.00
_cell_angle_beta 90.00
_cell_angle_gamma 90.00
loop_
_symmetry_equiv_pos_as_xyz
'x,y,z'
loop_
_atom_site_label
_atom_site_type_symbol
_atom_site_fract_x
_atom_site_fract_y
_atom_site_fract_z
Mg1 Mg 0.000 0.000 0.000
Ni1 Ni 0.500 0.500 0.500
H1 H 0.500 0.500 0.000
```